# DyY2Rh3
Simulated powder XRD pattern, Cu Kα, 1.54184 Å. Input: DFT lattice parameters and positions (PBE).
Intensities are scaled so that the largest is 100.

Structural model:
Cell lengths 4.8588, 4.8588, 11.8671 Å; angles 90.00, 90.00, 120.00 degrees
Fractional positions:
1 Dy 0.3333 0.6667 0.1666
2 Dy 0.6667 0.3333 0.8334
3 Y 0.0000 0.0000 0.0000
4 Y 0.0000 0.0000 0.5000
5 Y 0.3333 0.6667 0.6668
6 Y 0.6667 0.3333 0.3332
7 Rh 0.0000 0.0000 0.2491
8 Rh 0.0000 0.0000 0.7509
9 Rh 0.3333 0.6667 0.4158
10 Rh 0.3333 0.6667 0.9169
11 Rh 0.6667 0.3333 0.0831
12 Rh 0.6667 0.3333 0.5842

Peak list (10 most intense, 15° ≤ 2θ ≤ 90°, in order of falling intensity)
2θ 37.0, d = 2.427 Å, rel. 100
2θ 66.7, d = 1.402 Å, rel. 26
2θ 53.4, d = 1.716 Å, rel. 17
2θ 66.9, d = 1.399 Å, rel. 9
2θ 78.8, d = 1.215 Å, rel. 5
2θ 79.0, d = 1.212 Å, rel. 5
2θ 22.4, d = 3.964 Å, rel. 3
2θ 43.7, d = 2.070 Å, rel. 2
2θ 58.6, d = 1.576 Å, rel. 1
2θ 21.1, d = 4.208 Å, rel. 1

***

# Sc8As3CS3
Simulated powder XRD pattern, Cu Kα, 1.54184 Å. Input: DFT lattice parameters and positions (PBE).
Intensities are scaled so that the largest is 100.

Structural model:
Cell lengths 7.5254, 7.5254, 7.5254 Å; angles 59.26, 59.26, 59.26 degrees
Fractional positions:
1 Sc 0.2491 0.2491 0.2491
2 Sc 0.2757 0.7205 0.7205
3 Sc 0.2795 0.2795 0.7243
4 Sc 0.2795 0.7243 0.2795
5 Sc 0.7205 0.2757 0.7205
6 Sc 0.7205 0.7205 0.2757
7 Sc 0.7243 0.2795 0.2795
8 Sc 0.7509 0.7509 0.7509
9 As 0.0000 0.5000 0.5000
10 As 0.5000 0.0000 0.5000
11 As 0.5000 0.5000 0.0000
12 C 0.5000 0.5000 0.5000
13 S 0.0000 0.0000 0.5000
14 S 0.0000 0.5000 0.0000
15 S 0.5000 0.0000 0.0000

Peak list (10 most intense, 15° ≤ 2θ ≤ 90°, in order of falling intensity)
2θ 33.9, d = 2.646 Å, rel. 100
2θ 48.4, d = 1.881 Å, rel. 31
2θ 49.0, d = 1.860 Å, rel. 31
2θ 60.9, d = 1.522 Å, rel. 14
2θ 16.8, d = 5.291 Å, rel. 11
2θ 81.8, d = 1.178 Å, rel. 11
2θ 80.9, d = 1.188 Å, rel. 10
2θ 71.3, d = 1.323 Å, rel. 8
2θ 37.0, d = 2.432 Å, rel. 8
2θ 28.1, d = 3.175 Å, rel. 7

***

# CaGa4Pb
Simulated powder XRD pattern, Cu Kα, 1.54184 Å. Input: DFT lattice parameters and positions (PBE).
Intensities are scaled so that the largest is 100.

Structural model:
Cell lengths 5.7421, 5.7421, 5.7421 Å; angles 60.00, 60.00, 60.00 degrees
Fractional positions:
1 Ca 0.0000 0.0000 0.0000
2 Ga 0.3748 0.3748 0.3748
3 Ga 0.3748 0.3748 0.8757
4 Ga 0.3748 0.8757 0.3748
5 Ga 0.8757 0.3748 0.3748
6 Pb 0.7500 0.7500 0.7500

Peak list (10 most intense, 15° ≤ 2θ ≤ 90°, in order of falling intensity)
2θ 36.7, d = 2.448 Å, rel. 100
2θ 31.2, d = 2.871 Å, rel. 40
2θ 59.1, d = 1.563 Å, rel. 33
2θ 38.4, d = 2.344 Å, rel. 28
2θ 65.0, d = 1.436 Å, rel. 23
2θ 21.9, d = 4.060 Å, rel. 20
2θ 18.9, d = 4.688 Å, rel. 19
2θ 55.4, d = 1.658 Å, rel. 16
2θ 77.0, d = 1.238 Å, rel. 12
2θ 78.1, d = 1.224 Å, rel. 11

***

# ThNi9B2
Simulated powder XRD pattern, Cu Kα, 1.54184 Å. Input: DFT lattice parameters and positions (PBE).
Intensities are scaled so that the largest is 100.

Structural model:
Cell lengths 6.8587, 6.8587, 3.4275 Å; angles 90.00, 90.00, 120.00 degrees
Fractional positions:
1 Th 0.0000 0.0000 0.0000
2 Ni 0.0000 0.5000 0.0000
3 Ni 0.2125 0.4249 0.5000
4 Ni 0.2125 0.7875 0.5000
5 Ni 0.4249 0.2125 0.5000
6 Ni 0.5000 0.0000 0.0000
7 Ni 0.5000 0.5000 0.0000
8 Ni 0.5751 0.7875 0.5000
9 Ni 0.7875 0.2125 0.5000
10 Ni 0.7875 0.5751 0.5000
11 B 0.3333 0.6667 0.0000
12 B 0.6667 0.3333 0.0000

Peak list (10 most intense, 15° ≤ 2θ ≤ 90°, in order of falling intensity)
2θ 40.2, d = 2.245 Å, rel. 100
2θ 53.4, d = 1.714 Å, rel. 35
2θ 30.1, d = 2.969 Å, rel. 34
2θ 62.6, d = 1.485 Å, rel. 21
2θ 68.9, d = 1.362 Å, rel. 16
2θ 37.1, d = 2.424 Å, rel. 12
2θ 86.8, d = 1.122 Å, rel. 11
2θ 79.0, d = 1.212 Å, rel. 10
2θ 60.4, d = 1.533 Å, rel. 9
2θ 26.0, d = 3.429 Å, rel. 6

***

What is the formula in the first record? DyY2Rh3

***

What did the fourth record say?
# ThNi9B2
Simulated powder XRD pattern, Cu Kα, 1.54184 Å. Input: DFT lattice parameters and positions (PBE).
Intensities are scaled so that the largest is 100.

Structural model:
Cell lengths 6.8587, 6.8587, 3.4275 Å; angles 90.00, 90.00, 120.00 degrees
Fractional positions:
1 Th 0.0000 0.0000 0.0000
2 Ni 0.0000 0.5000 0.0000
3 Ni 0.2125 0.4249 0.5000
4 Ni 0.2125 0.7875 0.5000
5 Ni 0.4249 0.2125 0.5000
6 Ni 0.5000 0.0000 0.0000
7 Ni 0.5000 0.5000 0.0000
8 Ni 0.5751 0.7875 0.5000
9 Ni 0.7875 0.2125 0.5000
10 Ni 0.7875 0.5751 0.5000
11 B 0.3333 0.6667 0.0000
12 B 0.6667 0.3333 0.0000

Peak list (10 most intense, 15° ≤ 2θ ≤ 90°, in order of falling intensity)
2θ 40.2, d = 2.245 Å, rel. 100
2θ 53.4, d = 1.714 Å, rel. 35
2θ 30.1, d = 2.969 Å, rel. 34
2θ 62.6, d = 1.485 Å, rel. 21
2θ 68.9, d = 1.362 Å, rel. 16
2θ 37.1, d = 2.424 Å, rel. 12
2θ 86.8, d = 1.122 Å, rel. 11
2θ 79.0, d = 1.212 Å, rel. 10
2θ 60.4, d = 1.533 Å, rel. 9
2θ 26.0, d = 3.429 Å, rel. 6

***

Number 2 is which compound? Sc8As3CS3